(1)
Structure and computed powder diffractogram of La12NdY7 (a structure optimized by DFT (GGA-PBE); Cu Kα (λ = 1.5418 Å)).
No peak broadening, texture or thermal motion is included.

Principal peaks in the range 2θ from 15° to 90°, in order of rising 2θ:
| d (Å) | I_rel | (hkl) |
| --- | --- | --- |
| 3.200 | 16 | 1 3 1 |
| 3.130 | 57 | 1 0 4 |
| 2.943 | 78 | 3 1 2 |
| 2.924 | 68 | 0 3 3 |
| 2.901 | 100 | 4 0 1 |
| 2.705 | 48 | 0 4 2 |
| 1.899 | 25 | 3 0 6 |
| 1.718 | 26 | 4 4 0 |
| 1.676 | 32 | 4 3 4 |
| 1.645 | 18 | 0 7 2 |

Structural model:
```
data_La12NdY7
_chemical_formula_sum 'La36 Nd3 Y21'
_cell_length_a 13.7459
_cell_length_b 13.7459
_cell_length_c 12.9747
_cell_angle_alpha 90.00
_cell_angle_beta 90.00
_cell_angle_gamma 120.00
_space_group_name_H-M_alt 'R -3 m'
_space_group_IT_number 166
_space_group_name_Hall '-R 3 2"'
loop_
_atom_site_label
_atom_site_type_symbol
_atom_site_fract_x
_atom_site_fract_y
_atom_site_fract_z
La1 La 0.0000 0.2600 0.0000
La2 La 0.0896 0.1792 0.7653
Nd1 Nd 0.0000 0.0000 0.5000
Y1 Y 0.0000 0.0000 0.0000
Y2 Y 0.0457 0.5229 0.1188
```

=====

(2)
Structure and computed powder diffractogram of TaMo (a structure optimized by DFT (GGA-PBE); Cu Kα (λ = 1.5418 Å)).
No peak broadening, texture or thermal motion is included.

Principal peaks in the range 2θ from 15° to 90°, in order of rising 2θ:
| d (Å) | I_rel | (hkl) |
| --- | --- | --- |
| 4.876 | 3 | 0 0 2 |
| 3.060 | 8 | 1 0 1 |
| 2.289 | 100 | 1 0 3 |
| 2.279 | 50 | 1 1 0 |
| 1.625 | 8 | 0 0 6 |
| 1.611 | 17 | 2 0 0 |
| 1.323 | 17 | 1 1 6 |
| 1.317 | 34 | 2 1 3 |
| 1.144 | 11 | 2 0 6 |
| 1.139 | 6 | 2 2 0 |

Structural model:
```
data_TaMo
_chemical_formula_sum 'Ta3 Mo3'
_cell_length_a 3.2226
_cell_length_b 3.2226
_cell_length_c 9.7519
_cell_angle_alpha 90.00
_cell_angle_beta 90.00
_cell_angle_gamma 90.00
_space_group_name_H-M_alt 'P 4 m m'
_space_group_IT_number 99
_space_group_name_Hall 'P 4 -2'
loop_
_atom_site_label
_atom_site_type_symbol
_atom_site_fract_x
_atom_site_fract_y
_atom_site_fract_z
Ta1 Ta 0.0000 0.0000 0.0000
Ta2 Ta 0.0000 0.0000 0.3267
Ta3 Ta 0.5000 0.5000 0.5061
Mo1 Mo 0.0000 0.0000 0.6731
Mo2 Mo 0.5000 0.5000 0.1641
Mo3 Mo 0.5000 0.5000 0.8290
```